Diffraction record for SmGe2Au6. The XRD peak list is calculated, not measured: it uses a GGA-PBE-relaxed structure and a wavelength of 1.5418 Å.

Largest 8 diffraction maxima, most intense first, 2θ from 10° to 90°:
2θ = 34.87°, intensity 100.0, (1 1 2)
2θ = 40.32°, intensity 47.9, (2 0 0)
2θ = 69.80°, intensity 27.4, (3 1 2)
2θ = 41.88°, intensity 26.7, (1 1 3)
2θ = 58.34°, intensity 16.3, (2 2 0)
2θ = 58.71°, intensity 13.2, (2 0 4)
2θ = 74.37°, intensity 10.1, (3 1 3)
2θ = 40.80°, intensity 9.5, (0 0 4)

Structure:
a = 4.473 Å, b = 4.473 Å, c = 8.847 Å
α = 90.00°, β = 90.00°, γ = 90.00°
Space group P4/mmm (No. 123)
One atom of each set of equivalent atoms:
Sm (0.000, 0.000, 0.000)
Ge (0.500, 0.500, 0.138)
Au (0.000, 0.000, 0.500)
Au (0.000, 0.500, 0.282)
Au (0.500, 0.500, 0.500)

***

Diffraction record for Sm3Ge4Au2. The XRD peak list is calculated, not measured: it uses a GGA-PBE-relaxed structure and a wavelength of 1.5418 Å.

Largest 8 diffraction maxima, most intense first, 2θ from 10° to 90°:
2θ = 32.13°, intensity 100.0, (3 1 0)
2θ = 41.79°, intensity 83.0, (3 1 -3)
2θ = 32.07°, intensity 68.3, (1 1 2)
2θ = 32.55°, intensity 50.3, (0 0 3)
2θ = 40.56°, intensity 45.6, (0 2 0)
2θ = 52.97°, intensity 42.2, (0 2 3)
2θ = 44.36°, intensity 33.4, (4 0 2)
2θ = 32.66°, intensity 32.1, (4 0 -1)

Structure:
a = 11.017 Å, b = 4.448 Å, c = 8.482 Å
α = 90.00°, β = 103.36°, γ = 90.00°
Space group C2/m (No. 12)
One atom of each set of equivalent atoms:
Sm (0.000, 0.000, 0.000)
Sm (0.163, 0.500, 0.672)
Ge (0.051, 0.000, 0.383)
Ge (0.215, 0.500, 0.044)
Au (0.120, 0.500, 0.287)

***

Diffraction record for Sm3Ge4Au7. The XRD peak list is calculated, not measured: it uses a GGA-PBE-relaxed structure and a wavelength of 1.5418 Å.

Largest 8 diffraction maxima, most intense first, 2θ from 10° to 90°:
2θ = 34.18°, intensity 100.0, (5 1 -2)
2θ = 33.89°, intensity 86.7, (1 1 2)
2θ = 40.60°, intensity 67.4, (0 2 0)
2θ = 40.95°, intensity 46.2, (6 0 0)
2θ = 36.98°, intensity 41.0, (5 1 -3)
2θ = 59.03°, intensity 35.2, (6 2 0)
2θ = 43.81°, intensity 32.2, (1 1 3)
2θ = 34.97°, intensity 28.6, (3 1 1)

Structure:
a = 16.336 Å, b = 4.444 Å, c = 9.756 Å
α = 90.00°, β = 125.95°, γ = 90.00°
Space group C2/m (No. 12)
One atom of each set of equivalent atoms:
Sm (0.000, 0.000, 0.000)
Sm (0.190, 0.500, 0.690)
Ge (0.127, 0.000, 0.845)
Ge (0.164, 0.500, 0.282)
Au (0.000, 0.000, 0.500)
Au (0.008, 0.500, 0.305)
Au (0.151, 0.000, 0.414)
Au (0.173, 0.500, 0.029)